AlCrBiO6: computed PXRD pattern (CuKα), based on the PBE+U geometry in Alexandria.
Neutral-atom scattering factors, no anomalous dispersion.

Peak list (8 most intense, 10° ≤ 2θ ≤ 80°, most intense first)
hkl, 2theta, I (rel.)
1 1 0, 27.21, 100.0
1 0 1, 21.43, 96.7
2 1 3, 53.18, 76.1
1 0 3, 34.86, 75.4
1 1 2, 33.47, 37.5
2 1 1, 44.80, 34.6
3 0 3, 67.78, 30.2
0 0 2, 19.12, 29.8

Atomic structure:
Cell: 4.6353 4.6353 9.2824 Å, 90.00 90.00 90.00°
Fractional coordinates of all 18 atoms:
Al  0.0000  0.0000  0.0000
Al  0.5000  0.5000  0.5000
Cr  0.0000  0.0000  0.6666
Cr  0.5000  0.5000  0.1666
Bi  0.0000  0.0000  0.3348
Bi  0.5000  0.5000  0.8348
O  0.1769  0.1769  0.8365
O  0.2041  0.2041  0.1538
O  0.2053  0.2053  0.5139
O  0.2947  0.7053  0.0139
O  0.2959  0.7041  0.6538
O  0.3231  0.6769  0.3365
O  0.6769  0.3231  0.3365
O  0.7041  0.2959  0.6538
O  0.7053  0.2947  0.0139
O  0.7947  0.7947  0.5139
O  0.7959  0.7959  0.1538
O  0.8231  0.8231  0.8365